(1)
The following is a computed PXRD pattern of La2CdRh. It was derived from a cell relaxed with PBE, using Cu Kα X-rays.
No peak broadening, texture or thermal motion is included.

Top 10 peaks for 2θ from 5° to 70°, low angle first:
- 2θ 25.69, intensity 20
- 2θ 28.36, intensity 53
- 2θ 33.03, intensity 100
- 2θ 33.68, intensity 73
- 2θ 35.84, intensity 18
- 2θ 37.24, intensity 62
- 2θ 44.83, intensity 25
- 2θ 48.30, intensity 20
- 2θ 54.13, intensity 21
- 2θ 57.22, intensity 31

Cell and atoms:
Lattice parameters (Å, degrees): 7.784 7.784 7.538 90.00 90.00 149.89
Atoms (fractional coordinates):
La 0.141 0.859 0.501
La 0.141 0.859 0.999
La 0.859 0.141 0.001
La 0.859 0.141 0.499
Cd 0.495 0.505 0.250
Cd 0.505 0.495 0.750
Rh 0.300 0.700 0.250
Rh 0.700 0.300 0.750

---

(2)
The following is a computed PXRD pattern of PmNdIrPt. It was derived from a cell relaxed with PBE, using Cu Kα X-rays.
No peak broadening, texture or thermal motion is included.

Top 10 peaks for 2θ from 5° to 70°, low angle first:
- 2θ 31.55, intensity 100
- 2θ 32.75, intensity 29
- 2θ 33.40, intensity 14
- 2θ 38.84, intensity 30
- 2θ 39.40, intensity 83
- 2θ 41.28, intensity 31
- 2θ 45.81, intensity 23
- 2θ 53.66, intensity 15
- 2θ 61.58, intensity 16
- 2θ 63.35, intensity 18

Cell and atoms:
Lattice parameters (Å, degrees): 4.374 5.816 5.816 39.82 90.00 90.00
Atoms (fractional coordinates):
Pm 0.000 0.000 0.000
Nd 0.500 0.282 0.282
Ir 0.500 0.552 0.552
Pt 0.000 0.724 0.724

---

(3)
The following is a computed PXRD pattern of La3HgN. It was derived from a cell relaxed with PBE, using Cu Kα X-rays.
No peak broadening, texture or thermal motion is included.

Top 10 peaks for 2θ from 5° to 70°, low angle first:
- 2θ 27.76, intensity 4
- 2θ 30.31, intensity 100
- 2θ 32.83, intensity 5
- 2θ 34.76, intensity 21
- 2θ 35.32, intensity 34
- 2θ 50.40, intensity 25
- 2θ 50.82, intensity 11
- 2θ 59.58, intensity 15
- 2θ 60.32, intensity 22
- 2θ 63.04, intensity 11

Cell and atoms:
Lattice parameters (Å, degrees): 7.187 7.187 5.162 90.00 90.00 90.00
Atoms (fractional coordinates):
La 0.000 0.000 0.000
La 0.218 0.282 0.500
La 0.282 0.782 0.500
La 0.500 0.500 0.000
La 0.718 0.218 0.500
La 0.782 0.718 0.500
Hg 0.000 0.500 0.000
Hg 0.500 0.000 0.000
N 0.000 0.000 0.500
N 0.500 0.500 0.500

---

(4)
The following is a computed PXRD pattern of TbYErTh2. It was derived from a cell relaxed with PBE, using Cu Kα X-rays.
No peak broadening, texture or thermal motion is included.

Top 10 peaks for 2θ from 5° to 70°, low angle first:
- 2θ 11.32, intensity 18
- 2θ 22.75, intensity 16
- 2θ 25.53, intensity 16
- 2θ 29.21, intensity 100
- 2θ 34.44, intensity 32
- 2θ 35.46, intensity 31
- 2θ 38.32, intensity 38
- 2θ 52.46, intensity 25
- 2θ 63.77, intensity 23
- 2θ 66.04, intensity 16

Cell and atoms:
Lattice parameters (Å, degrees): 8.495 8.495 6.645 90.00 90.00 133.97
Atoms (fractional coordinates):
Tb 0.248 0.752 0.750
Tb 0.752 0.248 0.250
Y 0.153 0.847 0.250
Y 0.847 0.153 0.750
Er 0.349 0.651 0.250
Er 0.651 0.349 0.750
Th 0.250 0.250 0.000
Th 0.250 0.250 0.500
Th 0.750 0.750 0.000
Th 0.750 0.750 0.500

---

(5)
The following is a computed PXRD pattern of Tl2Sn4Hg5. It was derived from a cell relaxed with PBE, using Cu Kα X-rays.
No peak broadening, texture or thermal motion is included.

Top 10 peaks for 2θ from 5° to 70°, low angle first:
- 2θ 24.77, intensity 50
- 2θ 30.42, intensity 31
- 2θ 31.01, intensity 29
- 2θ 32.31, intensity 95
- 2θ 32.81, intensity 100
- 2θ 33.59, intensity 67
- 2θ 40.37, intensity 34
- 2θ 46.38, intensity 42
- 2θ 47.28, intensity 26
- 2θ 67.25, intensity 24

Cell and atoms:
Lattice parameters (Å, degrees): 11.211 11.211 11.211 163.49 123.15 59.63
Atoms (fractional coordinates):
Tl 0.250 0.250 0.000
Tl 0.750 0.750 0.000
Sn 0.083 0.083 0.000
Sn 0.224 0.500 0.724
Sn 0.776 0.500 0.276
Sn 0.917 0.917 0.000
Hg 0.101 0.340 0.762
Hg 0.422 0.660 0.762
Hg 0.500 0.000 0.500
Hg 0.578 0.340 0.238
Hg 0.899 0.660 0.238

---

(6)
The following is a computed PXRD pattern of Ba5Dy8Zn4O21. It was derived from a cell relaxed with PBE, using Cu Kα X-rays.
No peak broadening, texture or thermal motion is included.

Top 10 peaks for 2θ from 5° to 70°, low angle first:
- 2θ 27.85, intensity 44
- 2θ 28.72, intensity 15
- 2θ 30.73, intensity 100
- 2θ 31.07, intensity 41
- 2θ 35.87, intensity 33
- 2θ 37.73, intensity 14
- 2θ 42.82, intensity 18
- 2θ 45.84, intensity 19
- 2θ 49.65, intensity 12
- 2θ 55.07, intensity 19

Cell and atoms:
Lattice parameters (Å, degrees): 10.243 10.243 10.243 94.53 94.53 147.36
Atoms (fractional coordinates):
Ba 0.000 0.000 0.000
Ba 0.139 0.535 0.674
Ba 0.465 0.139 0.604
Ba 0.535 0.861 0.396
Ba 0.861 0.465 0.326
Dy 0.168 0.247 0.415
Dy 0.247 0.832 0.079
Dy 0.358 0.411 0.769
Dy 0.411 0.642 0.054
Dy 0.589 0.358 0.946
Dy 0.642 0.589 0.231
Dy 0.753 0.168 0.921
Dy 0.832 0.753 0.585
Zn 0.041 0.749 0.790
Zn 0.251 0.041 0.291
Zn 0.749 0.959 0.709
Zn 0.959 0.251 0.210
O 0.010 0.900 0.406
O 0.037 0.372 0.409
O 0.072 0.298 0.870
O 0.100 0.505 0.109
O 0.202 0.072 0.774
O 0.298 0.428 0.226
O 0.372 0.963 0.335
O 0.396 0.990 0.891
O 0.428 0.202 0.130
O 0.495 0.604 0.594
O 0.500 0.500 0.000
O 0.505 0.396 0.406
O 0.572 0.798 0.870
O 0.604 0.010 0.109
O 0.628 0.037 0.665
O 0.702 0.572 0.774
O 0.798 0.928 0.226
O 0.900 0.495 0.891
O 0.928 0.702 0.130
O 0.963 0.628 0.591
O 0.990 0.100 0.594